[1]
# KSn3Au3
Computed X-ray diffraction stick pattern, CuKα. Input: a crystal structure in Alexandria, relaxed with GGA-PBE.

Structure:
Cell: 4.7592 7.8307 9.4608 Å, 90.00 90.00 90.00°
Atoms (fractional coordinates):
K1 0.2500 0.2500 0.2370
K2 0.7500 0.7500 0.7630
Sn1 0.2500 0.0481 0.6208
Sn2 0.2500 0.4519 0.6208
Sn3 0.2500 0.7500 0.1132
Sn4 0.7500 0.2500 0.8868
Sn5 0.7500 0.5481 0.3792
Sn6 0.7500 0.9519 0.3792
Au1 0.2500 0.0353 0.9159
Au2 0.2500 0.4647 0.9159
Au3 0.2500 0.7500 0.4285
Au4 0.7500 0.2500 0.5715
Au5 0.7500 0.5353 0.0841
Au6 0.7500 0.9647 0.0841

Peak list (12 most intense, 15 to 90 degrees two-theta, by angle)
| Position (°2θ) | I/Imax |
| --- | --- |
| 18.76 | 28 |
| 24.61 | 19 |
| 30.56 | 43 |
| 31.05 | 100 |
| 37.81 | 54 |
| 39.37 | 50 |
| 41.37 | 100 |
| 42.69 | 18 |
| 49.37 | 23 |
| 55.90 | 19 |
| 70.69 | 22 |
| 79.28 | 20 |

=====

[2]
# K23Sn9Au12
Computed X-ray diffraction stick pattern, CuKα. Input: a crystal structure in Alexandria, relaxed with GGA-PBE.

Structure:
Cell: 15.2422 15.2422 15.2422 Å, 93.00 93.00 153.56°
Atoms (fractional coordinates):
K1 0.0000 0.0000 0.0000
K2 0.0532 0.6144 0.7582
K3 0.0849 0.2172 0.7850
K4 0.1438 0.3856 0.4388
K5 0.1487 0.1487 0.5652
K6 0.2172 0.0849 0.7850
K7 0.2500 0.7500 0.5000
K8 0.2950 0.8562 0.2418
K9 0.3000 0.4323 0.2150
K10 0.3856 0.1438 0.4388
K11 0.4164 0.8513 0.0000
K12 0.4323 0.3000 0.2150
K13 0.5677 0.7828 0.8677
K14 0.5836 0.5836 0.4348
K15 0.6144 0.0532 0.7582
K16 0.7000 0.9151 0.1323
K17 0.7050 0.9468 0.5612
K18 0.7500 0.2500 0.5000
K19 0.7828 0.5677 0.8677
K20 0.8513 0.4164 0.0000
K21 0.8562 0.2950 0.2418
K22 0.9151 0.7000 0.1323
K23 0.9468 0.7050 0.5612
Sn1 0.0231 0.0231 0.3302
Sn2 0.1667 0.5000 0.6667
Sn3 0.3072 0.9769 0.0000
Sn4 0.5000 0.1667 0.6667
Sn5 0.5000 0.5000 0.0000
Sn6 0.5000 0.8333 0.3333
Sn7 0.6928 0.6928 0.6698
Sn8 0.8333 0.5000 0.3333
Sn9 0.9769 0.3072 0.0000
Au1 0.0925 0.4383 0.8381
Au2 0.2343 0.4003 0.0000
Au3 0.2544 0.6001 0.1619
Au4 0.4003 0.2343 0.0000
Au5 0.3999 0.5617 0.6542
Au6 0.4383 0.0925 0.8381
Au7 0.5617 0.3999 0.6542
Au8 0.6001 0.2544 0.1619
Au9 0.5997 0.5997 0.8340
Au10 0.7456 0.9075 0.3458
Au11 0.7657 0.7657 0.1660
Au12 0.9075 0.7456 0.3458

Peak list (12 most intense, 15 to 90 degrees two-theta, by angle)
| Position (°2θ) | I/Imax |
| --- | --- |
| 15.83 | 100 |
| 17.95 | 25 |
| 26.23 | 20 |
| 28.90 | 46 |
| 30.13 | 55 |
| 31.36 | 38 |
| 33.67 | 28 |
| 35.84 | 22 |
| 36.34 | 46 |
| 36.86 | 23 |
| 39.90 | 25 |
| 47.13 | 21 |